KNbNi: computed powder diffractogram (Cu Ka), based on a DFT-relaxed cell (PBE, OQMD).
Lines closer than 0.1° are merged.

Lattice parameters (Å, degrees): 6.361 6.361 6.361 90.00 90.00 90.00
Space group F-43m (No. 216)
Symmetry-distinct sites (fractional):
K 0.000 0.000 0.000 x4
Nb 0.250 0.250 0.250 x4
Ni 0.000 0.000 0.500 x4

Top 6 peaks for 2θ from 15° to 90°, by angle:
- 2θ 24.24, I = 62.5
- 2θ 40.10, I = 100.0
- 2θ 47.40, I = 29.8
- 2θ 58.00, I = 15.9
- 2θ 63.78, I = 12.0
- 2θ 72.85, I = 30.8

Sr4TlAuN2: computed powder diffractogram (Cu Ka), based on a DFT-relaxed cell (PBE, OQMD).
Lines closer than 0.1° are merged.

Lattice parameters (Å, degrees): 5.347 3.769 19.893 90.00 90.00 90.00
Space group Amm2 (No. 38)
Symmetry-distinct sites (fractional):
Sr 0.000 0.000 0.000 x2
Sr 0.000 0.000 0.176 x2
Sr 0.500 0.000 0.393 x2
Sr 0.500 0.000 0.569 x2
Tl 0.000 0.000 0.821 x2
Au 0.500 0.000 0.751 x2
N 0.000 0.000 0.589 x2
N 0.500 0.000 0.980 x2

Top 6 peaks for 2θ from 15° to 90°, by angle:
- 2θ 29.34, I = 64.1
- 2θ 31.76, I = 100.0
- 2θ 32.73, I = 58.5
- 2θ 33.52, I = 58.0
- 2θ 36.90, I = 46.1
- 2θ 58.97, I = 40.7

Ge2Pd3Se2: computed powder diffractogram (Cu Ka), based on a DFT-relaxed cell (PBE, OQMD).
Lines closer than 0.1° are merged.

Lattice parameters (Å, degrees): 5.7623 5.7623 13.8041 90.00 90.00 120.00
Space group R-3m (No. 166, hexagonal axes)
Symmetry-distinct sites (fractional):
Ge 0.0000 0.0000 0.0000 x3
Ge 0.0000 0.0000 0.5000 x3
Pd 0.0000 0.5000 0.0000 x9
Se 0.0000 0.0000 0.2002 x6

Top 6 peaks for 2θ from 15° to 90°, by angle:
- 2θ 36.60, I = 90.4
- 2θ 36.81, I = 71.3
- 2θ 38.36, I = 68.2
- 2θ 39.16, I = 49.0
- 2θ 44.82, I = 100.0
- 2θ 49.22, I = 64.1

Al5W: computed powder diffractogram (Cu Ka), based on a DFT-relaxed cell (PBE, OQMD).
Lines closer than 0.1° are merged.

Lattice parameters (Å, degrees): 5.0940 5.0940 16.6302 90.00 90.00 120.00
Space group P6_3/mmc (No. 194)
Symmetry-distinct sites (fractional):
Al 0.0000 0.5000 0.0000 x6
Al 0.1617 0.3235 0.2500 x6
Al 0.3333 0.6667 0.1248 x4
Al 0.3333 0.6667 0.6523 x4
W 0.0000 0.0000 0.1050 x4

Top 6 peaks for 2θ from 15° to 90°, by angle:
- 2θ 20.13, I = 100.0
- 2θ 29.52, I = 71.1
- 2θ 35.24, I = 49.9
- 2θ 38.35, I = 45.2
- 2θ 40.91, I = 23.3
- 2θ 41.58, I = 79.1

Li2Ge2PdPt: computed powder diffractogram (Cu Ka), based on a DFT-relaxed cell (PBE, OQMD).
Lines closer than 0.1° are merged.

Lattice parameters (Å, degrees): 4.3733 4.3733 5.4255 90.00 90.00 120.00
Space group P-6m2 (No. 187)
Symmetry-distinct sites (fractional):
Li 0.0000 0.0000 0.2488 x2
Ge 0.3333 0.6667 0.0000 x1
Ge 0.6667 0.3333 0.5000 x1
Pd 0.3333 0.6667 0.5000 x1
Pt 0.6667 0.3333 0.0000 x1

Top 6 peaks for 2θ from 15° to 90°, by angle:
- 2θ 23.49, I = 100.0
- 2θ 28.75, I = 42.8
- 2θ 33.02, I = 53.2
- 2θ 40.92, I = 55.5
- 2θ 41.29, I = 94.6
- 2θ 53.85, I = 79.2

TlZn2Cd: computed powder diffractogram (Cu Ka), based on a DFT-relaxed cell (PBE, OQMD).
Lines closer than 0.1° are merged.

Lattice parameters (Å, degrees): 7.001 7.001 7.001 90.00 90.00 90.00
Space group F-43m (No. 216)
Symmetry-distinct sites (fractional):
Tl 0.000 0.000 0.000 x4
Zn 0.000 0.000 0.500 x4
Zn 0.250 0.250 0.750 x4
Cd 0.250 0.250 0.250 x4

Top 6 peaks for 2θ from 15° to 90°, by angle:
- 2θ 21.99, I = 20.2
- 2θ 36.30, I = 100.0
- 2θ 42.84, I = 11.1
- 2θ 52.27, I = 17.3
- 2θ 65.30, I = 34.9
- 2θ 88.29, I = 15.6

SmY2Ga2Pd4: computed powder diffractogram (Cu Ka), based on a DFT-relaxed cell (PBE, OQMD).
Lines closer than 0.1° are merged.

Lattice parameters (Å, degrees): 10.057 4.352 8.637 90.00 96.90 90.00
Space group C2/m (No. 12)
Symmetry-distinct sites (fractional):
Sm 0.000 0.000 0.000 x2
Y 0.125 0.500 0.387 x4
Ga 0.179 0.500 0.780 x4
Pd 0.085 0.000 0.636 x4
Pd 0.216 0.500 0.089 x4

Top 6 peaks for 2θ from 15° to 90°, by angle:
- 2θ 33.91, I = 77.3
- 2θ 34.23, I = 38.1
- 2θ 36.51, I = 31.6
- 2θ 38.26, I = 62.9
- 2θ 39.66, I = 100.0
- 2θ 41.50, I = 61.9

Er4InGe4Ir2: computed powder diffractogram (Cu Ka), based on a DFT-relaxed cell (PBE, OQMD).
Lines closer than 0.1° are merged.

Lattice parameters (Å, degrees): 15.669 4.263 6.970 90.00 106.85 90.00
Space group C2/m (No. 12)
Symmetry-distinct sites (fractional):
Er 0.088 0.000 0.388 x4
Er 0.155 0.000 0.930 x4
In 0.000 0.500 0.000 x2
Ge 0.064 0.500 0.661 x4
Ge 0.198 0.500 0.250 x4
Ir 0.219 0.500 0.630 x4

Top 6 peaks for 2θ from 15° to 90°, by angle:
- 2θ 32.90, I = 59.2
- 2θ 33.25, I = 55.0
- 2θ 35.89, I = 78.6
- 2θ 36.03, I = 100.0
- 2θ 36.63, I = 60.6
- 2θ 42.40, I = 76.7